Entry 1:
Li2Fe3P4O14: computed powder diffraction line list (Cu Ka), based on DFT lattice parameters and positions (GGA+U).
Kinematic intensities with the Lorentz-polarization factor, no thermal factor.

Principal peaks in the range 2θ = 10–80°, by intensity:
hkl 1 2 1, d = 3.055 Å, I 100
hkl 1 0 0, d = 6.951 Å, I 70
hkl 1 2 -2, d = 3.004 Å, I 65
hkl 1 1 -1, d = 5.146 Å, I 49
hkl 2 1 -2, d = 3.111 Å, I 46
hkl 1 0 2, d = 3.315 Å, I 40
hkl 0 3 1, d = 2.541 Å, I 32
hkl 0 2 0, d = 3.975 Å, I 23

Crystal structure
abc: 7.4071 7.9331 9.6841
angles: 90.00 110.21 90.00
Space group P2_1/c (No. 14)
Asymmetric unit:
Li  0.2044  0.0820  0.1391 (multiplicity 4)
Fe  0.3067  0.1231  0.4784 (multiplicity 4)
Fe  0.5000  0.0000  0.0000 (multiplicity 2)
P  0.0969  0.0501  0.7178 (multiplicity 4)
P  0.3807  0.7059  0.1941 (multiplicity 4)
O  0.1116  0.5046  0.7998 (multiplicity 4)
O  0.1183  0.1715  0.6020 (multiplicity 4)
O  0.1780  0.6338  0.1911 (multiplicity 4)
O  0.2174  0.1084  0.8752 (multiplicity 4)
O  0.3432  0.6232  0.6186 (multiplicity 4)
O  0.4644  0.5815  0.1100 (multiplicity 4)
O  0.4917  0.2098  0.1410 (multiplicity 4)

=====

Entry 2:
LiFePO4: computed powder diffraction line list (Cu Ka), based on DFT lattice parameters and positions (GGA+U).
Kinematic intensities with the Lorentz-polarization factor, no thermal factor.

Principal peaks in the range 2θ = 10–80°, by intensity:
hkl 2 1 -2, d = 2.807 Å, I 100
hkl 2 1 2, d = 2.784 Å, I 73
hkl 1 0 4, d = 3.818 Å, I 59
hkl 0 0 4, d = 4.494 Å, I 56
hkl 1 1 4, d = 2.987 Å, I 51
hkl 1 1 -4, d = 3.016 Å, I 46
hkl 1 0 2, d = 5.685 Å, I 42
hkl 1 2 1, d = 2.263 Å, I 39

Crystal structure
abc: 7.4464 4.7968 17.9798
angles: 90.00 91.01 90.00
Space group P2_1/c (No. 14)
Asymmetric unit:
Li  0.1413  0.2234  0.2273 (multiplicity 4)
Li  0.3378  0.7239  0.9824 (multiplicity 4)
Fe  0.0328  0.2434  0.8998 (multiplicity 4)
Fe  0.4925  0.6674  0.1686 (multiplicity 4)
P  0.2436  0.6548  0.3211 (multiplicity 4)
P  0.2462  0.2051  0.5689 (multiplicity 4)
O  0.0707  0.5246  0.2889 (multiplicity 4)
O  0.1349  0.0655  0.6315 (multiplicity 4)
O  0.1790  0.1057  0.4919 (multiplicity 4)
O  0.2402  0.5277  0.5776 (multiplicity 4)
O  0.2510  0.5226  0.8144 (multiplicity 4)
O  0.2533  0.5457  0.4022 (multiplicity 4)
O  0.4099  0.5295  0.2779 (multiplicity 4)
O  0.4427  0.0868  0.5794 (multiplicity 4)

=====

Entry 3:
LiFePO4: computed powder diffraction line list (Cu Ka), based on DFT lattice parameters and positions (GGA+U).
Kinematic intensities with the Lorentz-polarization factor, no thermal factor.

Principal peaks in the range 2θ = 10–80°, by intensity:
hkl 0 0 2, d = 6.991 Å, I 100
hkl 1 2 2, d = 2.913 Å, I 39
hkl 2 1 1, d = 2.665 Å, I 27
hkl 0 4 1, d = 1.903 Å, I 23
hkl 1 1 1, d = 4.397 Å, I 20
hkl 1 1 3, d = 3.285 Å, I 19
hkl 0 2 3, d = 2.965 Å, I 18
hkl 2 3 3, d = 1.776 Å, I 17

Crystal structure
abc: 5.8045 7.6849 13.9818
angles: 90.00 90.00 90.00
Space group Pbca (No. 61)
Asymmetric unit:
Li  0.0850  0.1718  0.0271 (multiplicity 8)
Fe  0.1596  0.6841  0.7184 (multiplicity 8)
P  0.1051  0.0406  0.3735 (multiplicity 8)
O  0.0186  0.1401  0.6423 (multiplicity 8)
O  0.0671  0.6835  0.0930 (multiplicity 8)
O  0.1763  0.0855  0.2669 (multiplicity 8)
O  0.1868  0.5236  0.4385 (multiplicity 8)

=====

Entry 4:
LiFeP2O7: computed powder diffraction line list (Cu Ka), based on DFT lattice parameters and positions (GGA+U).
Kinematic intensities with the Lorentz-polarization factor, no thermal factor.

Principal peaks in the range 2θ = 10–80°, by intensity:
hkl 1 1 1, d = 4.995 Å, I 100
hkl 2 2 -2, d = 3.023 Å, I 66
hkl 3 1 -1, d = 2.971 Å, I 42
hkl 0 0 4, d = 3.131 Å, I 39
hkl 1 1 -3, d = 3.903 Å, I 18
hkl 2 2 1, d = 2.790 Å, I 18
hkl 3 3 -1, d = 2.070 Å, I 15
hkl 1 1 4, d = 2.541 Å, I 14

Crystal structure
abc: 9.6459 8.1640 13.4159
angles: 90.00 111.02 90.00
Space group C2 (No. 5)
Asymmetric unit:
Li  0.1048  0.0000  0.3784 (multiplicity 4)
Li  0.1117  0.7509  0.8812 (multiplicity 4)
Fe  0.1376  0.6111  0.3919 (multiplicity 4)
Fe  0.1394  0.1377  0.8934 (multiplicity 4)
P  0.1227  0.3302  0.6751 (multiplicity 4)
P  0.1250  0.4176  0.1774 (multiplicity 4)
P  0.1710  0.9498  0.1155 (multiplicity 4)
P  0.1726  0.7985  0.6141 (multiplicity 4)
O  0.0132  0.4208  0.3946 (multiplicity 4)
O  0.0151  0.3281  0.8958 (multiplicity 4)
O  0.0230  0.9650  0.1342 (multiplicity 4)
O  0.0241  0.7845  0.6327 (multiplicity 4)
O  0.0830  0.1765  0.7256 (multiplicity 4)
O  0.0840  0.5741  0.2262 (multiplicity 4)
O  0.1791  0.7829  0.0624 (multiplicity 4)
O  0.1808  0.9661  0.5645 (multiplicity 4)
O  0.1993  0.4620  0.7699 (multiplicity 4)
O  0.2005  0.2854  0.2719 (multiplicity 4)
O  0.2050  0.0958  0.0536 (multiplicity 4)
O  0.2080  0.6532  0.5549 (multiplicity 4)
O  0.2383  0.4463  0.1241 (multiplicity 4)
O  0.2389  0.3020  0.6236 (multiplicity 4)